Record 1
# LaSmTm14
Calculated PXRD pattern, copper Kα. Input: the GGA-PBE geometry in Alexandria.
Peak positions follow from Bragg's law for the DFT cell and can differ from measured ones.

Peak list (10 most intense, 10° ≤ 2θ ≤ 90°, most intense first)
Position (°2θ)  intensity
33.26  100
30.25  41
31.51  34
37.81  23
57.23  21
61.90  20
51.80  17
62.87  11
50.01  10
61.78  10

Atomic structure:
```
data_LaSmTm14
_symmetry_space_group_name_H-M 'P 1'
_symmetry_Int_Tables_number 1
_cell_length_a 11.3573
_cell_length_b 7.0601
_cell_length_c 7.0601
_cell_angle_alpha 60.16
_cell_angle_beta 90.00
_cell_angle_gamma 90.00
loop_
_symmetry_equiv_pos_as_xyz
'x,y,z'
loop_
_atom_site_label
_atom_site_type_symbol
_atom_site_fract_x
_atom_site_fract_y
_atom_site_fract_z
_atom_site_occupancy
La1 La 0.0000 0.0000 0.0000 1
Sm1 Sm 0.0000 0.5007 0.5007 1
Tm1 Tm 0.0000 0.0012 0.5003 1
Tm2 Tm 0.0000 0.5003 0.0012 1
Tm3 Tm 0.2514 0.6679 0.6679 1
Tm4 Tm 0.2535 0.1681 0.1681 1
Tm5 Tm 0.2554 0.1677 0.6662 1
Tm6 Tm 0.2554 0.6662 0.1677 1
Tm7 Tm 0.5000 0.3338 0.3338 1
Tm8 Tm 0.5000 0.3349 0.8341 1
Tm9 Tm 0.5000 0.8341 0.3349 1
Tm10 Tm 0.5000 0.8336 0.8336 1
Tm11 Tm 0.7446 0.1677 0.6662 1
Tm12 Tm 0.7446 0.6662 0.1677 1
Tm13 Tm 0.7465 0.1681 0.1681 1
Tm14 Tm 0.7486 0.6679 0.6679 1
```

---

Record 2
# La3Sm5Tm4
Calculated PXRD pattern, copper Kα. Input: the GGA-PBE geometry in Alexandria.
Peak positions follow from Bragg's law for the DFT cell and can differ from measured ones.

Peak list (10 most intense, 10° ≤ 2θ ≤ 90°, most intense first)
Position (°2θ)  intensity
29.85  100
32.19  74
33.56  55
31.39  54
29.22  47
28.83  37
32.72  34
59.97  30
30.92  28
41.98  27

Atomic structure:
```
data_La3Sm5Tm4
_symmetry_space_group_name_H-M 'P 1'
_symmetry_Int_Tables_number 1
_cell_length_a 8.6836
_cell_length_b 8.6836
_cell_length_c 9.3189
_cell_angle_alpha 114.96
_cell_angle_beta 114.96
_cell_angle_gamma 40.32
loop_
_symmetry_equiv_pos_as_xyz
'x,y,z'
loop_
_atom_site_label
_atom_site_type_symbol
_atom_site_fract_x
_atom_site_fract_y
_atom_site_fract_z
_atom_site_occupancy
La1 La 0.0000 0.0000 0.0000 1
La2 La 0.2945 0.2945 0.7810 1
La3 La 0.7055 0.7055 0.2190 1
Sm1 Sm 0.0760 0.0760 0.6999 1
Sm2 Sm 0.1729 0.1729 0.3945 1
Sm3 Sm 0.5000 0.5000 0.0000 1
Sm4 Sm 0.8271 0.8271 0.6055 1
Sm5 Sm 0.9240 0.9240 0.3001 1
Tm1 Tm 0.2919 0.2919 0.1326 1
Tm2 Tm 0.4208 0.4208 0.5630 1
Tm3 Tm 0.5792 0.5792 0.4370 1
Tm4 Tm 0.7081 0.7081 0.8674 1
```

---

Record 3
# LaSm5Tm4
Calculated PXRD pattern, copper Kα. Input: the GGA-PBE geometry in Alexandria.
Peak positions follow from Bragg's law for the DFT cell and can differ from measured ones.

Peak list (10 most intense, 10° ≤ 2θ ≤ 90°, most intense first)
Position (°2θ)  intensity
29.72  100
27.52  68
34.59  68
30.84  44
28.21  35
39.81  35
38.92  31
54.14  23
33.28  21
65.68  21

Atomic structure:
```
data_LaSm5Tm4
_symmetry_space_group_name_H-M 'P 1'
_symmetry_Int_Tables_number 1
_cell_length_a 7.9086
_cell_length_b 7.9086
_cell_length_c 7.9086
_cell_angle_alpha 99.21
_cell_angle_beta 99.21
_cell_angle_gamma 132.84
loop_
_symmetry_equiv_pos_as_xyz
'x,y,z'
loop_
_atom_site_label
_atom_site_type_symbol
_atom_site_fract_x
_atom_site_fract_y
_atom_site_fract_z
_atom_site_occupancy
La1 La 0.0000 0.0000 0.0000 1
Sm1 Sm 0.0369 0.1273 0.6181 1
Sm2 Sm 0.1273 0.5092 0.0904 1
Sm3 Sm 0.4189 0.0369 0.9096 1
Sm4 Sm 0.5092 0.4189 0.3819 1
Sm5 Sm 0.5400 0.5400 0.0000 1
Tm1 Tm 0.1198 0.8203 0.4030 1
Tm2 Tm 0.4172 0.7168 0.5970 1
Tm3 Tm 0.7168 0.1198 0.2996 1
Tm4 Tm 0.8203 0.4172 0.7004 1
```

---

Record 4
# LaSm5Tm
Calculated PXRD pattern, copper Kα. Input: the GGA-PBE geometry in Alexandria.
Peak positions follow from Bragg's law for the DFT cell and can differ from measured ones.

Peak list (10 most intense, 10° ≤ 2θ ≤ 90°, most intense first)
Position (°2θ)  intensity
31.62  100
31.80  78
34.41  28
30.19  25
56.55  22
47.44  18
31.10  16
22.97  15
33.11  12
43.39  10

Atomic structure:
```
data_LaSm5Tm
_symmetry_space_group_name_H-M 'P 1'
_symmetry_Int_Tables_number 1
_cell_length_a 6.2936
_cell_length_b 6.2937
_cell_length_c 7.0004
_cell_angle_alpha 99.61
_cell_angle_beta 99.48
_cell_angle_gamma 111.80
loop_
_symmetry_equiv_pos_as_xyz
'x,y,z'
loop_
_atom_site_label
_atom_site_type_symbol
_atom_site_fract_x
_atom_site_fract_y
_atom_site_fract_z
_atom_site_occupancy
La1 La 0.0000 0.0000 0.0000 1
Sm1 Sm 0.0926 0.5274 0.2727 1
Sm2 Sm 0.4736 0.9074 0.7273 1
Sm3 Sm 0.5000 0.5000 0.0000 1
Sm4 Sm 0.5264 0.0926 0.2727 1
Sm5 Sm 0.9074 0.4726 0.7273 1
Tm1 Tm 0.0000 0.0000 0.5000 1
```

---

Copy entry 3 word for word.
# LaSm5Tm4
Calculated PXRD pattern, copper Kα. Input: the GGA-PBE geometry in Alexandria.
Peak positions follow from Bragg's law for the DFT cell and can differ from measured ones.

Peak list (10 most intense, 10° ≤ 2θ ≤ 90°, most intense first)
Position (°2θ)  intensity
29.72  100
27.52  68
34.59  68
30.84  44
28.21  35
39.81  35
38.92  31
54.14  23
33.28  21
65.68  21

Atomic structure:
```
data_LaSm5Tm4
_symmetry_space_group_name_H-M 'P 1'
_symmetry_Int_Tables_number 1
_cell_length_a 7.9086
_cell_length_b 7.9086
_cell_length_c 7.9086
_cell_angle_alpha 99.21
_cell_angle_beta 99.21
_cell_angle_gamma 132.84
loop_
_symmetry_equiv_pos_as_xyz
'x,y,z'
loop_
_atom_site_label
_atom_site_type_symbol
_atom_site_fract_x
_atom_site_fract_y
_atom_site_fract_z
_atom_site_occupancy
La1 La 0.0000 0.0000 0.0000 1
Sm1 Sm 0.0369 0.1273 0.6181 1
Sm2 Sm 0.1273 0.5092 0.0904 1
Sm3 Sm 0.4189 0.0369 0.9096 1
Sm4 Sm 0.5092 0.4189 0.3819 1
Sm5 Sm 0.5400 0.5400 0.0000 1
Tm1 Tm 0.1198 0.8203 0.4030 1
Tm2 Tm 0.4172 0.7168 0.5970 1
Tm3 Tm 0.7168 0.1198 0.2996 1
Tm4 Tm 0.8203 0.4172 0.7004 1
```